[1]
Diffraction record for Pm6Al5In. The PXRD pattern is simulated, not measured: it uses a DFT-relaxed cell (GGA-PBE, Alexandria) and Cu Kα (λ = 1.5418 Å).
No peak broadening, texture or thermal motion is included.

Cell and atoms:
a b c (Å): 9.124 9.124 9.124
angles (deg): 146.44 131.68 60.11
Sites, in units of the cell vectors:
Pm1 0.078 0.331 0.747
Pm2 0.244 0.000 0.244
Pm3 0.416 0.669 0.747
Pm4 0.584 0.331 0.253
Pm5 0.756 0.000 0.756
Pm6 0.922 0.669 0.253
Al1 0.000 0.500 0.500
Al2 0.167 0.167 0.000
Al3 0.336 0.836 0.500
Al4 0.664 0.164 0.500
Al5 0.833 0.833 0.000
In1 0.500 0.500 0.000

The 6 most intense peaks (5 to 70 degrees two-theta), sorted by position:
23.87°, 3.727 Å, I 376
34.02°, 2.635 Å, I 1000
41.99°, 2.152 Å, I 115
48.92°, 1.862 Å, I 119
60.86°, 1.522 Å, I 245
60.93°, 1.521 Å, I 122


[2]
Diffraction record for Pm4AlIn. The PXRD pattern is simulated, not measured: it uses a DFT-relaxed cell (GGA-PBE, Alexandria) and Cu Kα (λ = 1.5418 Å).
No peak broadening, texture or thermal motion is included.

Cell and atoms:
a b c (Å): 9.089 9.089 9.089
angles (deg): 33.37 33.37 33.37
Sites, in units of the cell vectors:
Pm1 0.121 0.121 0.121
Pm2 0.371 0.371 0.371
Pm3 0.629 0.629 0.629
Pm4 0.879 0.879 0.879
Al1 0.000 0.000 0.000
In1 0.500 0.500 0.500

The 6 most intense peaks (5 to 70 degrees two-theta), sorted by position:
24.07°, 3.698 Å, I 904
34.22°, 2.620 Å, I 983
34.37°, 2.610 Å, I 1000
42.39°, 2.132 Å, I 204
49.28°, 1.849 Å, I 350
61.49°, 1.508 Å, I 543


[3]
Diffraction record for Pr2AlIn3. The PXRD pattern is simulated, not measured: it uses a DFT-relaxed cell (GGA-PBE, Alexandria) and Cu Kα (λ = 1.5418 Å).
No peak broadening, texture or thermal motion is included.

Cell and atoms:
a b c (Å): 3.768 4.917 8.535
angles (deg): 90.00 90.00 90.00
Sites, in units of the cell vectors:
Pr1 0.000 0.000 0.000
Pr2 0.000 0.500 0.486
Al1 0.500 0.000 0.323
In1 0.500 0.000 0.650
In2 0.500 0.500 0.167
In3 0.500 0.500 0.827

The 6 most intense peaks (5 to 70 degrees two-theta), sorted by position:
31.70°, 2.823 Å, I 1000
36.51°, 2.461 Å, I 646
49.06°, 1.857 Å, I 100
49.13°, 1.854 Å, I 190
62.04°, 1.496 Å, I 268
62.69°, 1.482 Å, I 177


[4]
Diffraction record for Pr3Al8In. The PXRD pattern is simulated, not measured: it uses a DFT-relaxed cell (GGA-PBE, Alexandria) and Cu Kα (λ = 1.5418 Å).
No peak broadening, texture or thermal motion is included.

Cell and atoms:
a b c (Å): 9.774 9.774 9.774
angles (deg): 33.98 33.98 33.98
Sites, in units of the cell vectors:
Pr1 0.000 0.000 0.000
Pr2 0.130 0.130 0.130
Pr3 0.621 0.621 0.621
Al1 0.061 0.565 0.565
Al2 0.062 0.062 0.569
Al3 0.062 0.569 0.062
Al4 0.313 0.313 0.313
Al5 0.565 0.061 0.565
Al6 0.565 0.565 0.061
Al7 0.569 0.062 0.062
Al8 0.815 0.815 0.815
In1 0.500 0.500 0.500

The 6 most intense peaks (5 to 70 degrees two-theta), sorted by position:
19.06°, 4.657 Å, I 788
31.32°, 2.856 Å, I 950
31.62°, 2.830 Å, I 901
36.92°, 2.435 Å, I 496
37.05°, 2.426 Å, I 1000
37.31°, 2.410 Å, I 453


[5]
Diffraction record for Pr4AlIn. The PXRD pattern is simulated, not measured: it uses a DFT-relaxed cell (GGA-PBE, Alexandria) and Cu Kα (λ = 1.5418 Å).
No peak broadening, texture or thermal motion is included.

Cell and atoms:
a b c (Å): 5.287 5.287 9.232
angles (deg): 106.78 106.78 59.96
Sites, in units of the cell vectors:
Pr1 0.121 0.121 0.363
Pr2 0.372 0.372 0.115
Pr3 0.628 0.628 0.885
Pr4 0.879 0.879 0.637
Al1 0.000 0.000 0.000
In1 0.500 0.500 0.500

The 6 most intense peaks (5 to 70 degrees two-theta), sorted by position:
23.74°, 3.748 Å, I 870
33.73°, 2.658 Å, I 988
33.92°, 2.643 Å, I 1000
48.62°, 1.873 Å, I 234
60.54°, 1.529 Å, I 241
60.67°, 1.526 Å, I 304


[6]
Diffraction record for PrAlIn. The PXRD pattern is simulated, not measured: it uses a DFT-relaxed cell (GGA-PBE, Alexandria) and Cu Kα (λ = 1.5418 Å).
No peak broadening, texture or thermal motion is included.

Cell and atoms:
a b c (Å): 4.816 4.816 3.774
angles (deg): 90.00 90.00 120.00
Sites, in units of the cell vectors:
Pr1 0.000 0.000 0.000
Al1 0.333 0.667 0.500
In1 0.667 0.333 0.500

The 6 most intense peaks (5 to 70 degrees two-theta), sorted by position:
21.30°, 4.171 Å, I 286
31.98°, 2.798 Å, I 1000
37.35°, 2.408 Å, I 517
49.97°, 1.825 Å, I 282
62.54°, 1.485 Å, I 224
64.01°, 1.455 Å, I 265


[7]
Diffraction record for PrAlIn2S6. The PXRD pattern is simulated, not measured: it uses a DFT-relaxed cell (GGA-PBE, Alexandria) and Cu Kα (λ = 1.5418 Å).
No peak broadening, texture or thermal motion is included.

Cell and atoms:
a b c (Å): 8.734 8.734 7.449
angles (deg): 107.68 107.68 80.68
Sites, in units of the cell vectors:
Pr1 0.161 0.839 0.750
Pr2 0.839 0.161 0.250
Al1 0.177 0.823 0.250
Al2 0.823 0.177 0.750
In1 0.257 0.376 0.816
In2 0.376 0.257 0.316
In3 0.624 0.743 0.684
In4 0.743 0.624 0.184
S1 0.051 0.165 0.651
S2 0.119 0.633 0.965
S3 0.165 0.051 0.151
S4 0.250 0.475 0.534
S5 0.367 0.881 0.535
S6 0.475 0.250 0.034
S7 0.525 0.750 0.966
S8 0.633 0.119 0.465
S9 0.750 0.525 0.466
S10 0.835 0.949 0.849
S11 0.881 0.367 0.035
S12 0.949 0.835 0.349

The 6 most intense peaks (5 to 70 degrees two-theta), sorted by position:
18.93°, 4.688 Å, I 460
21.42°, 4.149 Å, I 444
21.85°, 4.068 Å, I 467
23.22°, 3.830 Å, I 1000
30.53°, 2.928 Å, I 453
34.33°, 2.612 Å, I 497


[8]
Diffraction record for RbAlIn. The PXRD pattern is simulated, not measured: it uses a DFT-relaxed cell (GGA-PBE, Alexandria) and Cu Kα (λ = 1.5418 Å).
No peak broadening, texture or thermal motion is included.

Cell and atoms:
a b c (Å): 4.405 7.023 7.385
angles (deg): 97.46 107.33 90.10
Sites, in units of the cell vectors:
Rb1 0.116 0.372 0.230
Rb2 0.884 0.628 0.770
Al1 0.219 0.906 0.438
Al2 0.781 0.094 0.562
In1 0.414 0.124 0.828
In2 0.586 0.876 0.172

The 6 most intense peaks (5 to 70 degrees two-theta), sorted by position:
12.70°, 6.968 Å, I 275
25.21°, 3.533 Å, I 1000
25.51°, 3.492 Å, I 252
27.03°, 3.299 Å, I 560
29.61°, 3.017 Å, I 602
30.22°, 2.957 Å, I 394


[9]
Diffraction record for Rb2Al2In. The PXRD pattern is simulated, not measured: it uses a DFT-relaxed cell (GGA-PBE, Alexandria) and Cu Kα (λ = 1.5418 Å).
No peak broadening, texture or thermal motion is included.

Cell and atoms:
a b c (Å): 12.790 12.790 12.790
angles (deg): 162.73 162.73 24.52
Sites, in units of the cell vectors:
Rb1 0.115 0.115 0.000
Rb2 0.885 0.885 0.000
Al1 0.250 0.750 0.500
Al2 0.750 0.250 0.500
In1 0.500 0.500 0.000

The 6 most intense peaks (5 to 70 degrees two-theta), sorted by position:
7.07°, 12.498 Å, I 498
25.54°, 3.488 Å, I 903
28.57°, 3.125 Å, I 387
29.32°, 3.046 Å, I 1000
33.77°, 2.654 Å, I 346
56.66°, 1.624 Å, I 299


[10]
Diffraction record for Sc5AlIn2Rh2. The PXRD pattern is simulated, not measured: it uses a DFT-relaxed cell (GGA-PBE, Alexandria) and Cu Kα (λ = 1.5418 Å).
No peak broadening, texture or thermal motion is included.

Cell and atoms:
a b c (Å): 11.192 11.192 3.364
angles (deg): 90.00 90.00 90.00
Sites, in units of the cell vectors:
Sc1 0.000 0.500 0.000
Sc2 0.074 0.201 0.000
Sc3 0.201 0.926 0.000
Sc4 0.299 0.426 0.000
Sc5 0.426 0.701 0.000
Sc6 0.500 0.000 0.000
Sc7 0.574 0.299 0.000
Sc8 0.701 0.574 0.000
Sc9 0.799 0.074 0.000
Sc10 0.926 0.799 0.000
Al1 0.000 0.000 0.500
Al2 0.500 0.500 0.500
In1 0.172 0.672 0.500
In2 0.328 0.172 0.500
In3 0.672 0.828 0.500
In4 0.828 0.328 0.500
Rh1 0.131 0.369 0.500
Rh2 0.369 0.869 0.500
Rh3 0.631 0.131 0.500
Rh4 0.869 0.631 0.500

The 6 most intense peaks (5 to 70 degrees two-theta), sorted by position:
11.18°, 7.914 Å, I 472
33.00°, 2.715 Å, I 450
33.98°, 2.638 Å, I 414
36.86°, 2.438 Å, I 1000
39.50°, 2.281 Å, I 393
42.00°, 2.151 Å, I 277


[11]
Diffraction record for AlZnInS4. The PXRD pattern is simulated, not measured: it uses a DFT-relaxed cell (GGA-PBE, Alexandria) and Cu Kα (λ = 1.5418 Å).
No peak broadening, texture or thermal motion is included.

Cell and atoms:
a b c (Å): 6.681 6.681 6.681
angles (deg): 132.12 132.12 70.03
Sites, in units of the cell vectors:
Al1 0.000 0.000 0.000
Zn1 0.250 0.750 0.500
In1 0.500 0.500 0.000
S1 0.096 0.631 0.988
S2 0.369 0.356 0.464
S3 0.644 0.108 0.012
S4 0.892 0.904 0.536

The 6 most intense peaks (5 to 70 degrees two-theta), sorted by position:
18.26°, 4.858 Å, I 476
28.43°, 3.140 Å, I 1000
29.52°, 3.026 Å, I 223
38.01°, 2.367 Å, I 228
47.20°, 1.925 Å, I 425
56.23°, 1.636 Å, I 261


[12]
Diffraction record for Sc5AlIn2. The PXRD pattern is simulated, not measured: it uses a DFT-relaxed cell (GGA-PBE, Alexandria) and Cu Kα (λ = 1.5418 Å).
No peak broadening, texture or thermal motion is included.

Cell and atoms:
a b c (Å): 9.033 9.033 9.033
angles (deg): 150.56 150.56 42.11
Sites, in units of the cell vectors:
Sc1 0.000 0.000 0.000
Sc2 0.125 0.625 0.500
Sc3 0.375 0.875 0.500
Sc4 0.625 0.125 0.500
Sc5 0.875 0.375 0.500
Al1 0.500 0.500 0.000
In1 0.249 0.249 0.000
In2 0.751 0.751 0.000

The 6 most intense peaks (5 to 70 degrees two-theta), sorted by position:
10.49°, 8.430 Å, I 444
29.49°, 3.029 Å, I 172
34.89°, 2.571 Å, I 1000
39.26°, 2.295 Å, I 356
59.56°, 1.552 Å, I 194
68.36°, 1.372 Å, I 250


[13]
Diffraction record for Sc7Al2In2. The PXRD pattern is simulated, not measured: it uses a DFT-relaxed cell (GGA-PBE, Alexandria) and Cu Kα (λ = 1.5418 Å).
No peak broadening, texture or thermal motion is included.

Cell and atoms:
a b c (Å): 6.281 6.281 7.538
angles (deg): 90.00 90.00 113.35
Sites, in units of the cell vectors:
Sc1 0.000 0.000 0.000
Sc2 0.000 0.500 0.289
Sc3 0.000 0.500 0.711
Sc4 0.500 0.000 0.289
Sc5 0.500 0.000 0.711
Sc6 0.500 0.500 0.219
Sc7 0.500 0.500 0.781
Al1 0.278 0.722 0.000
Al2 0.722 0.278 0.000
In1 0.203 0.203 0.500
In2 0.797 0.797 0.500

The 6 most intense peaks (5 to 70 degrees two-theta), sorted by position:
11.74°, 7.538 Å, I 578
28.29°, 3.155 Å, I 448
28.45°, 3.138 Å, I 792
29.17°, 3.061 Å, I 542
34.17°, 2.624 Å, I 667
39.34°, 2.290 Å, I 1000


[14]
Diffraction record for Sc8Al2In. The PXRD pattern is simulated, not measured: it uses a DFT-relaxed cell (GGA-PBE, Alexandria) and Cu Kα (λ = 1.5418 Å).
No peak broadening, texture or thermal motion is included.

Cell and atoms:
a b c (Å): 8.263 8.263 8.263
angles (deg): 147.02 124.81 65.82
Sites, in units of the cell vectors:
Sc1 0.126 0.340 0.786
Sc2 0.151 0.151 0.000
Sc3 0.307 0.000 0.307
Sc4 0.446 0.660 0.786
Sc5 0.554 0.340 0.214
Sc6 0.693 0.000 0.693
Sc7 0.849 0.849 0.000
Sc8 0.874 0.660 0.214
Al1 0.308 0.808 0.500
Al2 0.692 0.192 0.500
In1 0.000 0.500 0.500

The 6 most intense peaks (5 to 70 degrees two-theta), sorted by position:
13.21°, 6.703 Å, I 228
25.71°, 3.465 Å, I 253
34.22°, 2.620 Å, I 320
35.98°, 2.496 Å, I 1000
38.38°, 2.345 Å, I 253
38.95°, 2.312 Å, I 203